The following is a computed powder diffraction line list of CePmPO2. It was derived from a PBE-relaxed structure, using Cu Kα, 1.54184 Å.

```
data_CePmPO2
_chemical_formula_sum 'Ce2 Pm2 P2 O4'
_symmetry_space_group_name_H-M 'I 4 m m'
_symmetry_Int_Tables_number 107
_symmetry_space_group_name_Hall 'I 4 -2'
_cell_length_a 3.8408
_cell_length_b 3.8408
_cell_length_c 12.2704
_cell_angle_alpha 90.00
_cell_angle_beta 90.00
_cell_angle_gamma 90.00
loop_
_atom_site_label
_atom_site_fract_x
_atom_site_fract_y
_atom_site_fract_z
Ce1 0.0000 0.0000 0.0000
Pm1 0.0000 0.0000 0.2937
P1 0.0000 0.0000 0.6434
O1 0.0000 0.5000 0.4014
```

Main lines, low angle first (5° ≤ 2θ ≤ 70°):
two_theta  d [Å]  I_rel  h k l
14.44  6.135  13  0 0 2
24.28  3.665  45  1 0 1
29.11  3.068  11  0 0 4
31.97  2.800  100  1 0 3
32.98  2.716  42  1 1 0
44.56  2.033  27  1 1 4
47.34  1.920  23  2 0 0
53.90  1.701  11  2 1 1
56.31  1.634  16  1 1 6
56.54  1.628  8  2 0 4
57.82  1.595  13  1 0 7
58.26  1.584  36  2 1 3